Pm3Dy5Er3: calculated X-ray powder pattern (copper Kα), based on a cell relaxed with PBE.
Lines closer than 0.1° are merged.

Principal peaks in the range 2θ from 5° to 70°, sorted by position:
2θ (°)  I_rel
10.6  45
16.5  65
27.0  86
28.2  43
32.1  57
32.9  100
33.3  63
36.3  92
42.4  40
46.9  40

Structural model:
```
data_Pm3Dy5Er3
_chemical_formula_sum 'Pm3 Dy5 Er3'
_symmetry_space_group_name_H-M 'P -6 2 m'
_symmetry_Int_Tables_number 189
_symmetry_space_group_name_Hall 'P -6 -2'
_cell_length_a 9.6580
_cell_length_b 9.6580
_cell_length_c 5.3818
_cell_angle_alpha 90.00
_cell_angle_beta 90.00
_cell_angle_gamma 120.00
loop_
_atom_site_label
_atom_site_type_symbol
_atom_site_fract_x
_atom_site_fract_y
_atom_site_fract_z
Pm1 Pm 0.0000 0.3665 0.0000
Dy1 Dy 0.0000 0.7383 0.0000
Dy2 Dy 0.3333 0.6667 0.0000
Er1 Er 0.0000 0.5508 0.5000
```


Pm2DyEr: calculated X-ray powder pattern (copper Kα), based on a cell relaxed with PBE.
Lines closer than 0.1° are merged.

Principal peaks in the range 2θ from 5° to 70°, sorted by position:
2θ (°)  I_rel
29.1  33
30.8  50
31.4  100
33.9  81
38.7  16
50.6  37
53.5  23
58.4  17
60.4  44
60.8  16

Structural model:
```
data_Pm2DyEr
_chemical_formula_sum 'Pm6 Dy3 Er3'
_symmetry_space_group_name_H-M 'R 3 m'
_symmetry_Int_Tables_number 160
_symmetry_space_group_name_Hall 'R 3 -2"'
_cell_length_a 3.6052
_cell_length_b 3.6052
_cell_length_c 34.8458
_cell_angle_alpha 90.00
_cell_angle_beta 90.00
_cell_angle_gamma 120.00
loop_
_atom_site_label
_atom_site_type_symbol
_atom_site_fract_x
_atom_site_fract_y
_atom_site_fract_z
Pm1 Pm 0.0000 0.0000 0.0000
Pm2 Pm 0.0000 0.0000 0.1668
Dy1 Dy 0.0000 0.0000 0.4167
Er1 Er 0.0000 0.0000 0.5839
```


PmDyEr: calculated X-ray powder pattern (copper Kα), based on a cell relaxed with PBE.
Lines closer than 0.1° are merged.

Principal peaks in the range 2θ from 5° to 70°, sorted by position:
2θ (°)  I_rel
30.7  100
35.6  34
35.7  17
51.2  24
51.3  12
60.9  29
61.0  14
64.0  12

Structural model:
```
data_PmDyEr
_chemical_formula_sum 'Pm8 Dy8 Er8'
_symmetry_space_group_name_H-M 'C m c e'
_symmetry_Int_Tables_number 64
_symmetry_space_group_name_Hall '-C 2ac 2'
_cell_length_a 5.0318
_cell_length_b 15.1281
_cell_length_c 10.1017
_cell_angle_alpha 90.00
_cell_angle_beta 90.00
_cell_angle_gamma 90.00
loop_
_atom_site_label
_atom_site_type_symbol
_atom_site_fract_x
_atom_site_fract_y
_atom_site_fract_z
Pm1 Pm 0.0000 0.0830 0.1260
Dy1 Dy 0.0000 0.2488 0.8746
Er1 Er 0.0000 0.0843 0.6250
```


Pm2Dy4Er: calculated X-ray powder pattern (copper Kα), based on a cell relaxed with PBE.
Lines closer than 0.1° are merged.

Principal peaks in the range 2θ from 5° to 70°, sorted by position:
2θ (°)  I_rel
28.4  32
29.3  59
31.0  59
31.2  97
31.4  56
31.8  87
32.9  46
33.2  100
33.5  37
51.7  38

Structural model:
```
data_Pm2Dy4Er
_chemical_formula_sum 'Pm4 Dy8 Er2'
_symmetry_space_group_name_H-M 'P 1 21/m 1'
_symmetry_Int_Tables_number 11
_cell_length_a 6.0884
_cell_length_b 6.6134
_cell_length_c 11.5759
_cell_angle_alpha 90.00
_cell_angle_beta 103.94
_cell_angle_gamma 90.00
loop_
_symmetry_equiv_pos_as_xyz
'x,y,z'
'-x,-y,-z'
'-x,y+1/2,-z'
'x,-y+1/2,z'
loop_
_atom_site_label
_atom_site_type_symbol
_atom_site_fract_x
_atom_site_fract_y
_atom_site_fract_z
Pm1 Pm 0.1006 0.2500 0.4948
Pm2 Pm 0.2114 0.2500 0.0699
Dy1 Dy 0.1476 0.0056 0.7880
Dy2 Dy 0.3506 0.7500 0.0575
Dy3 Dy 0.4820 0.7500 0.6470
Er1 Er 0.3532 0.7500 0.3442
```


PmDyEr2: calculated X-ray powder pattern (copper Kα), based on a cell relaxed with PBE.
Lines closer than 0.1° are merged.

Principal peaks in the range 2θ from 5° to 70°, sorted by position:
2θ (°)  I_rel
27.1  59
30.5  100
32.4  40
35.7  49
37.7  67
44.5  20
56.1  31
56.6  14
62.4  26
65.4  17

Structural model:
```
data_PmDyEr2
_chemical_formula_sum 'Pm4 Dy4 Er8'
_symmetry_space_group_name_H-M 'P 1 2/c 1'
_symmetry_Int_Tables_number 13
_cell_length_a 6.9225
_cell_length_b 6.9018
_cell_length_c 11.0415
_cell_angle_alpha 90.00
_cell_angle_beta 90.04
_cell_angle_gamma 90.00
loop_
_symmetry_equiv_pos_as_xyz
'x,y,z'
'-x,-y,-z'
'-x,y,-z+1/2'
'x,-y,z+1/2'
loop_
_atom_site_label
_atom_site_type_symbol
_atom_site_fract_x
_atom_site_fract_y
_atom_site_fract_z
Pm1 Pm 0.1256 0.1259 0.3868
Dy1 Dy 0.3757 0.3761 0.6135
Er1 Er 0.1252 0.3756 0.8876
Er2 Er 0.3760 0.1256 0.1122
```


Pm3Dy3Er4: calculated X-ray powder pattern (copper Kα), based on a cell relaxed with PBE.
Lines closer than 0.1° are merged.

Principal peaks in the range 2θ from 5° to 70°, sorted by position:
2θ (°)  I_rel
26.8  14
30.0  64
30.9  31
32.4  100
39.0  10
42.5  10
46.9  11
49.7  12
55.8  19
59.2  19

Structural model:
```
data_Pm3Dy3Er4
_chemical_formula_sum 'Pm6 Dy6 Er8'
_symmetry_space_group_name_H-M 'A m m 2'
_symmetry_Int_Tables_number 38
_cell_length_a 3.6658
_cell_length_b 13.2878
_cell_length_c 13.3330
_cell_angle_alpha 90.00
_cell_angle_beta 90.00
_cell_angle_gamma 90.00
loop_
_symmetry_equiv_pos_as_xyz
'x,y,z'
'-x,-y,z'
'-x,y,z'
'x,-y,z'
'x,y+1/2,z+1/2'
'-x,-y+1/2,z+1/2'
'-x,y+1/2,z+1/2'
'x,-y+1/2,z+1/2'
loop_
_atom_site_label
_atom_site_type_symbol
_atom_site_fract_x
_atom_site_fract_y
_atom_site_fract_z
Pm1 Pm 0.0000 0.0000 0.0000
Pm2 Pm 0.0000 0.1742 0.6731
Dy1 Dy 0.0000 0.0000 0.3476
Dy2 Dy 0.5000 0.2472 0.4223
Er1 Er 0.5000 0.0000 0.5480
Er2 Er 0.5000 0.0000 0.7982
Er3 Er 0.5000 0.1241 0.1752
```


Pm4Dy5Er3: calculated X-ray powder pattern (copper Kα), based on a cell relaxed with PBE.
Lines closer than 0.1° are merged.

Principal peaks in the range 2θ from 5° to 70°, sorted by position:
2θ (°)  I_rel
28.7  27
29.5  30
30.3  100
31.2  42
31.8  51
32.6  76
32.8  30
33.6  65
44.0  32
60.2  28

Structural model:
```
data_Pm4Dy5Er3
_chemical_formula_sum 'Pm8 Dy10 Er6'
_symmetry_space_group_name_H-M 'C 1 2/m 1'
_symmetry_Int_Tables_number 12
_cell_length_a 16.0969
_cell_length_b 5.9051
_cell_length_c 9.3383
_cell_angle_alpha 90.00
_cell_angle_beta 116.65
_cell_angle_gamma 90.00
loop_
_symmetry_equiv_pos_as_xyz
'x,y,z'
'-x,-y,-z'
'-x,y,-z'
'x,-y,z'
'x+1/2,y+1/2,z'
'-x+1/2,-y+1/2,-z'
'-x+1/2,y+1/2,-z'
'x+1/2,-y+1/2,z'
loop_
_atom_site_label
_atom_site_type_symbol
_atom_site_fract_x
_atom_site_fract_y
_atom_site_fract_z
Pm1 Pm 0.0832 0.0000 0.4445
Pm2 Pm 0.2159 0.0000 0.8807
Dy1 Dy 0.0000 0.0000 0.0000
Dy2 Dy 0.0717 0.5000 0.7024
Dy3 Dy 0.1717 0.5000 0.3850
Er1 Er 0.0000 0.5000 0.0000
Er2 Er 0.2112 0.0000 0.2342
```


Pm3DyEr4: calculated X-ray powder pattern (copper Kα), based on a cell relaxed with PBE.
Lines closer than 0.1° are merged.

Principal peaks in the range 2θ from 5° to 70°, sorted by position:
2θ (°)  I_rel
28.2  41
28.3  42
29.8  61
30.6  100
32.7  76
33.3  87
33.9  79
34.0  30
38.8  46
62.0  29

Structural model:
```
data_Pm3DyEr4
_chemical_formula_sum 'Pm3 Dy1 Er4'
_symmetry_space_group_name_H-M 'P -1'
_symmetry_Int_Tables_number 2
_cell_length_a 3.6005
_cell_length_b 5.3864
_cell_length_c 14.0004
_cell_angle_alpha 100.87
_cell_angle_beta 97.32
_cell_angle_gamma 90.04
loop_
_symmetry_equiv_pos_as_xyz
'x,y,z'
'-x,-y,-z'
loop_
_atom_site_label
_atom_site_type_symbol
_atom_site_fract_x
_atom_site_fract_y
_atom_site_fract_z
Pm1 Pm 0.0000 0.0000 0.0000
Pm2 Pm 0.1492 0.6519 0.3005
Dy1 Dy 0.5000 0.5000 0.0000
Er1 Er 0.2809 0.7803 0.5611
Er2 Er 0.4005 0.8969 0.7990
```